Ta2Nb2V: calculated XRD peak list (copper Kα), based on a structure optimized by DFT (PBE).
Lines closer than 0.1° are merged.

Cell and atoms:
```
data_Ta2Nb2V
_space_group_name_H-M_alt 'P b a m'
_space_group_IT_number 55
_cell_length_a 4.8381
_cell_length_b 9.1787
_cell_length_c 4.1896
_cell_angle_alpha 90.00
_cell_angle_beta 90.00
_cell_angle_gamma 90.00
loop_
_space_group_symop_operation_xyz
'x,y,z'
'-x,-y,-z'
'-x,-y,z'
'x,y,-z'
'x+1/2,-y+1/2,-z'
'-x+1/2,y+1/2,z'
'-x+1/2,y+1/2,-z'
'x+1/2,-y+1/2,z'
loop_
_atom_site_label
_atom_site_type_symbol
_atom_site_fract_x
_atom_site_fract_y
_atom_site_fract_z
Ta1 Ta 0.2062 0.1176 0.0000
Nb1 Nb 0.0874 0.3342 0.5000
V1 V 0.0000 0.0000 0.5000
```

Principal peaks in the range 2θ = 10–80°, low angle first:
- hkl 1 2 0, 2θ 26.77, 3.330 Å, I = 33
- hkl 1 2 1, 2θ 34.40, 2.607 Å, I = 100
- hkl 2 1 0, 2θ 38.49, 2.339 Å, I = 15
- hkl 0 4 0, 2θ 39.26, 2.295 Å, I = 15
- hkl 1 3 1, 2θ 41.02, 2.200 Å, I = 24
- hkl 0 0 2, 2θ 43.19, 2.095 Å, I = 54
- hkl 0 4 1, 2θ 45.05, 2.013 Å, I = 12
- hkl 1 2 2, 2θ 51.54, 1.773 Å, I = 12
- hkl 0 4 2, 2θ 59.77, 1.547 Å, I = 19
- hkl 1 2 3, 2θ 73.54, 1.288 Å, I = 11

=====

ScCu8Ni4: calculated XRD peak list (copper Kα), based on a structure optimized by DFT (PBE).
Lines closer than 0.1° are merged.

Cell and atoms:
```
data_ScCu8Ni4
_space_group_name_H-M_alt 'I 4/m m m'
_space_group_IT_number 139
_space_group_name_Hall '-I 4 2'
_cell_length_a 8.2490
_cell_length_b 8.2490
_cell_length_c 4.8012
_cell_angle_alpha 90.00
_cell_angle_beta 90.00
_cell_angle_gamma 90.00
loop_
_atom_site_label
_atom_site_type_symbol
_atom_site_fract_x
_atom_site_fract_y
_atom_site_fract_z
Sc1 Sc 0.0000 0.0000 0.0000
Cu1 Cu 0.0000 0.2172 0.5000
Cu2 Cu 0.0000 0.3482 0.0000
Ni1 Ni 0.2500 0.2500 0.2500
```

Principal peaks in the range 2θ = 10–80°, low angle first:
- hkl 2 0 0, 2θ 21.55, 4.125 Å, I = 11
- hkl 0 0 2, 2θ 37.46, 2.401 Å, I = 12
- hkl 3 0 1, 2θ 37.70, 2.386 Å, I = 27
- hkl 2 0 2, 2θ 43.62, 2.075 Å, I = 44
- hkl 4 0 0, 2θ 43.86, 2.064 Å, I = 100
- hkl 2 2 2, 2θ 49.16, 1.853 Å, I = 57
- hkl 4 2 0, 2θ 49.38, 1.846 Å, I = 54
- hkl 3 2 3, 2θ 72.01, 1.311 Å, I = 12
- hkl 5 4 1, 2θ 76.57, 1.244 Å, I = 7
- hkl 0 0 4, 2θ 79.92, 1.200 Å, I = 7